# 1
This entry pairs a crystal structure of Cs2ZrAg2Te4 with its theoretical powder X-ray diffraction pattern. Radiation: λ = 1.5418 Å (Cu Kα). Structure: a cell relaxed with PBE.
Intensities are scaled so that the largest is 100.

Largest 10 diffraction maxima, in order of rising 2θ, 2θ from 10° to 90°:
index, 2θ (°), I/Imax
0 2 0, 11.43, 10.5
1 3 1, 25.60, 100.0
2 2 0, 29.18, 27.9
1 5 1, 34.67, 10.8
0 4 2, 35.56, 19.0
2 0 2, 38.20, 38.2
2 6 0, 44.41, 36.1
3 3 1, 46.56, 38.3
4 0 0, 55.13, 12.5
4 6 2, 73.38, 16.1

Cell and atoms:
Lattice parameters (Å, degrees): 6.6674 15.4798 6.6590 90.00 90.00 90.00
Space group C222 (No. 21)
Asymmetric unit:
Cs 0.2500 0.2500 0.2420
Zr 0.0000 0.0000 0.5000
Ag 0.0000 0.0000 0.0000
Ag 0.0000 0.5000 0.5000
Te 0.2398 0.1045 0.7392



# 2
This entry pairs a crystal structure of TiVOsRu with its theoretical powder X-ray diffraction pattern. Radiation: λ = 1.5418 Å (Cu Kα). Structure: a cell relaxed with PBE.
Intensities are scaled so that the largest is 100.

Largest 10 diffraction maxima, in order of rising 2θ, 2θ from 10° to 90°:
index, 2θ (°), I/Imax
0 1 1, 29.20, 32.4
1 0 0, 29.42, 15.9
0 0 2, 41.45, 25.8
1 1 1, 41.93, 100.0
0 2 0, 42.08, 24.7
0 2 2, 60.55, 16.4
2 1 1, 69.07, 9.3
1 1 3, 75.93, 16.7
2 0 2, 76.48, 8.2
1 3 1, 76.80, 16.2

Cell and atoms:
Lattice parameters (Å, degrees): 3.0363 4.2945 4.3569 90.00 90.00 90.00
Space group Pmmm (No. 47)
Asymmetric unit:
Ti 0.0000 0.0000 0.0000
V 0.0000 0.5000 0.5000
Os 0.5000 0.0000 0.5000
Ru 0.5000 0.5000 0.0000



# 3
This entry pairs a crystal structure of SbCCl4O2 with its theoretical powder X-ray diffraction pattern. Radiation: λ = 1.5418 Å (Cu Kα). Structure: a cell relaxed with PBE.
Intensities are scaled so that the largest is 100.

Largest 10 diffraction maxima, in order of rising 2θ, 2θ from 10° to 90°:
index, 2θ (°), I/Imax
1 0 1, 13.08, 14.8
0 1 2, 14.65, 95.5
1 0 2, 15.72, 54.3
1 0 -2, 16.52, 100.0
0 1 -2, 17.05, 53.0
1 -1 0, 17.79, 46.5
0 0 4, 20.96, 23.2
0 0 5, 26.27, 13.8
1 -2 2, 30.92, 13.5
2 2 2, 33.47, 15.0

Cell and atoms:
Lattice parameters (Å, degrees): 7.2530 7.5182 17.1818 81.07 86.40 85.22
Space group P-1 (No. 2)
Asymmetric unit:
Sb 0.1587 0.2421 0.1223
Sb 0.2961 0.2606 0.6122
C 0.0551 0.4507 0.9686
C 0.4175 0.5725 0.4993
Cl 0.0025 0.6902 0.3327
Cl 0.1035 0.9137 0.8909
Cl 0.1106 0.2297 0.2584
Cl 0.1926 0.1679 0.4984
Cl 0.3688 0.9952 0.1093
Cl 0.3883 0.9679 0.6701
Cl 0.3906 0.4488 0.1132
Cl 0.4372 0.3986 0.7053
O 0.0338 0.5137 0.8968
O 0.1601 0.3127 0.9929
O 0.2752 0.5336 0.5432
O 0.4350 0.7211 0.4545



# 4
This entry pairs a crystal structure of LaPrGd4 with its theoretical powder X-ray diffraction pattern. Radiation: λ = 1.5418 Å (Cu Kα). Structure: a cell relaxed with PBE.
Intensities are scaled so that the largest is 100.

Largest 10 diffraction maxima, in order of rising 2θ, 2θ from 10° to 90°:
index, 2θ (°), I/Imax
2 2 0, 26.52, 23.0
3 1 1, 31.20, 100.0
2 2 2, 32.63, 44.3
4 2 2, 46.81, 9.8
5 1 1, 49.84, 36.1
4 4 0, 54.60, 32.4
5 3 3, 64.24, 12.6
6 2 2, 65.07, 18.2
7 3 1, 77.04, 22.4
7 5 1, 89.21, 12.5

Cell and atoms:
Lattice parameters (Å, degrees): 9.5078 9.5078 9.5078 90.00 90.00 90.00
Space group F-43m (No. 216)
Asymmetric unit:
La 0.0000 0.0000 0.0000
Pr 0.2500 0.2500 0.2500
Gd 0.1248 0.1248 0.6248



# 5
This entry pairs a crystal structure of Y2Zn3 with its theoretical powder X-ray diffraction pattern. Radiation: λ = 1.5418 Å (Cu Kα). Structure: a cell relaxed with PBE.
Intensities are scaled so that the largest is 100.

Largest 10 diffraction maxima, in order of rising 2θ, 2θ from 10° to 90°:
index, 2θ (°), I/Imax
1 3 1, 33.33, 100.0
1 7 0, 33.98, 56.6
1 5 1, 35.99, 16.1
0 10 1, 39.20, 59.2
0 0 2, 40.48, 36.6
2 0 0, 50.14, 19.3
1 7 2, 53.85, 29.2
2 10 1, 65.42, 24.4
2 0 2, 66.32, 16.1
1 3 3, 69.10, 11.0

Cell and atoms:
Lattice parameters (Å, degrees): 3.6390 26.8218 4.4567 90.00 90.00 90.00
Space group Cmcm (No. 63)
Asymmetric unit:
Y 0.0000 0.0726 0.2500
Y 0.0000 0.2083 0.7500
Zn 0.0000 0.3291 0.7500
Zn 0.0000 0.3820 0.2500
Zn 0.0000 0.4768 0.2500



# 6
This entry pairs a crystal structure of Cs3Li2CuI6 with its theoretical powder X-ray diffraction pattern. Radiation: λ = 1.5418 Å (Cu Kα). Structure: a cell relaxed with PBE.
Intensities are scaled so that the largest is 100.

Largest 10 diffraction maxima, in order of rising 2θ, 2θ from 10° to 90°:
index, 2θ (°), I/Imax
1 0 0, 11.97, 24.0
0 2 1, 25.80, 100.0
0 0 3, 27.69, 20.5
1 1 2, 27.89, 12.5
2 0 2, 30.44, 69.6
2 2 0, 42.34, 28.5
0 2 4, 44.81, 20.9
4 0 1, 50.24, 15.1
2 2 3, 51.34, 21.0
0 4 2, 53.03, 14.2

Cell and atoms:
Lattice parameters (Å, degrees): 8.5396 8.5396 9.6632 90.00 90.00 120.00
Space group P-3m1 (No. 164)
Asymmetric unit:
Cs 0.0000 0.0000 0.0000
Cs 0.3333 0.6667 0.6385
Li 0.3333 0.6667 0.2571
Cu 0.0000 0.0000 0.5000
I 0.1590 0.3181 0.3135